1.
For Nd8BC3Cl4, a DFT-relaxed cell (GGA-PBE, Alexandria) gives the simulated powder diffraction line list in this record (Cu Kα).
Neutral-atom scattering factors, no anomalous dispersion.

Structure:
a b c (Å): 7.6736 7.6736 21.3469
angles (deg): 90.00 90.00 120.00
Space group R-3m (No. 166, hexagonal axes)
Symmetry-distinct sites (fractional):
1 Nd 0.0000 0.0000 0.2304 x6
2 Nd 0.0055 0.5028 0.7680 x18
3 B 0.0000 0.0000 0.5000 x3
4 C 0.0000 0.5000 0.5000 x9
5 Cl 0.0000 0.0000 0.0000 x3
6 Cl 0.0000 0.5000 0.0000 x9

Most intense lines, 2θ from 15° to 90°, low angle first:
25.03°, I 20, hkl 0 0 6; 28.13°, I 80, hkl 2 0 2; 31.72°, I 100, hkl 0 2 4; 34.19°, I 30, hkl 2 0 5; 37.93°, I 17, hkl 0 0 9; 40.13°, I 19, hkl 0 2 7; 43.50°, I 21, hkl 2 0 8; 47.39°, I 38, hkl 2 2 0; 58.15°, I 17, hkl 4 0 4; 62.24°, I 23, hkl 2 2 9

***

2.
For Li2DyScAu4, a DFT-relaxed cell (GGA-PBE, Alexandria) gives the simulated powder diffraction line list in this record (Cu Kα).
Neutral-atom scattering factors, no anomalous dispersion.

Structure:
a b c (Å): 4.6193 4.6193 24.8071
angles (deg): 90.00 90.00 120.00
Space group R-3m (No. 166, hexagonal axes)
Symmetry-distinct sites (fractional):
1 Li 0.0000 0.0000 0.2453 x6
2 Dy 0.0000 0.0000 0.0000 x3
3 Sc 0.0000 0.0000 0.5000 x3
4 Au 0.0000 0.0000 0.1230 x6
5 Au 0.0000 0.0000 0.3872 x6

Most intense lines, 2θ from 15° to 90°, low angle first:
23.36°, I 26, hkl 0 1 2; 26.51°, I 81, hkl 1 0 4; 36.67°, I 100, hkl 0 1 8; 39.00°, I 99, hkl 1 1 0; 42.90°, I 20, hkl 1 0 10; 47.78°, I 17, hkl 0 2 4; 54.60°, I 32, hkl 2 0 8; 63.31°, I 15, hkl 2 1 4; 69.12°, I 32, hkl 1 2 8; 70.64°, I 17, hkl 3 0 0

***

3.
For SmPaCN, a DFT-relaxed cell (GGA-PBE, Alexandria) gives the simulated powder diffraction line list in this record (Cu Kα).
Neutral-atom scattering factors, no anomalous dispersion.

Structure:
a b c (Å): 3.6203 3.6203 17.5110
angles (deg): 90.00 90.00 120.00
Space group R3m (No. 160, hexagonal axes)
Symmetry-distinct sites (fractional):
1 Sm 0.0000 0.0000 0.0000 x3
2 Pa 0.0000 0.0000 0.5006 x3
3 C 0.0000 0.0000 0.7605 x3
4 N 0.0000 0.0000 0.2388 x3

Most intense lines, 2θ from 15° to 90°, low angle first:
30.28°, I 100, hkl 0 1 2; 30.63°, I 33, hkl 0 0 6; 35.21°, I 87, hkl 1 0 4; 50.41°, I 32, hkl 1 1 0; 50.88°, I 30, hkl 0 1 8; 59.95°, I 15, hkl 2 0 2; 60.15°, I 31, hkl 1 1 6; 60.56°, I 15, hkl 1 0 10; 62.98°, I 16, hkl 0 2 4; 84.75°, I 14, hkl 2 1 4